Starting from a cell relaxed with GGA+U, the PXRD pattern of NaCoHg2F8 was calculated for Cu Ka.
Kinematic intensities with the Lorentz-polarization factor, no thermal factor.

Atomic structure:
Cell: 6.2170 6.2170 6.2170 Å, 111.77 111.77 104.96°
Element x y z (fractional)
Na1 0.0000 0.0000 0.0000
Co1 0.7500 0.2500 0.5000
Hg1 0.2500 0.7500 0.5000
Hg2 0.5000 0.5000 0.0000
F1 0.0061 0.3319 0.3258
F2 0.0061 0.6802 0.6742
F3 0.0745 0.2960 0.7786
F4 0.3198 0.9939 0.3258
F5 0.5174 0.2960 0.2214
F6 0.6681 0.9939 0.6742
F7 0.7040 0.4826 0.7786
F8 0.7040 0.9255 0.2214

Peak list (10 most intense, 2θ from 10° to 90°, in order of rising 2θ)
Position (°2θ)  d/Å  I/Imax
17.29  5.130  71
25.55  3.487  98
29.75  3.003  100
31.01  2.884  71
36.44  2.466  21
46.27  1.962  26
47.73  1.906  76
52.49  1.743  18
55.21  1.664  24
61.50  1.508  22